For Ba2ZnAg2Se2O2, DFT lattice parameters and positions (PBE) gives the simulated powder diffraction line list in this record (λ = 1.5418 Å (Cu Kα)).

Main lines, in order of rising 2θ (5 to 70 degrees two-theta):
2θ 30.27, I 1000, (5 1 1)
2θ 30.36, I 242, (2 2 0)
2θ 34.13, I 703, (4 0 2)
2θ 37.57, I 377, (7 1 1)
2θ 41.39, I 598, (0 2 2)
2θ 46.70, I 147, (8 0 2)
2θ 52.06, I 157, (5 1 3)
2θ 52.19, I 156, (5 3 1)
2θ 54.59, I 141, (10 2 0)
2θ 68.62, I 120, (5 3 3)

Atomic structure:
Cell lengths 20.0463, 6.1595, 6.1821 Å; angles 90.00, 90.00, 90.00 degrees
Space group Cmce (No. 64)
Inequivalent atoms, fractional coordinates:
Ba1 0.0885 0.0000 0.0000 (multiplicity 8)
Zn1 0.0000 0.0000 0.5000 (multiplicity 4)
Ag1 0.2500 0.2480 0.2500 (multiplicity 8)
Se1 0.1634 0.0000 0.5000 (multiplicity 8)
O1 0.0000 0.2133 0.2834 (multiplicity 8)

***

For Ba2Ag8S7, DFT lattice parameters and positions (PBE) gives the simulated powder diffraction line list in this record (λ = 1.5418 Å (Cu Kα)).

Main lines, in order of rising 2θ (5 to 70 degrees two-theta):
2θ 8.04, I 359, (0 1 0)
2θ 24.29, I 446, (0 3 0)
2θ 28.10, I 622, (2 2 1)
2θ 31.02, I 1000, (4 1 1)
2θ 33.01, I 324, (4 3 0)
2θ 34.16, I 376, (4 2 1)
2θ 34.33, I 378, (5 0 1)
2θ 35.32, I 503, (5 1 1)
2θ 38.94, I 466, (1 4 1)
2θ 40.64, I 591, (0 0 2)

Atomic structure:
Cell lengths 16.1502, 10.9939, 4.4396 Å; angles 90.00, 90.00, 90.00 degrees
Space group Pmn2_1 (No. 31)
Inequivalent atoms, fractional coordinates:
Ba1 0.1369 0.1229 0.0000 (multiplicity 4)
Ag1 0.0000 0.4224 0.9905 (multiplicity 2)
Ag2 0.0000 0.8123 0.9149 (multiplicity 2)
Ag3 0.1048 0.5212 0.4955 (multiplicity 4)
Ag4 0.1440 0.8033 0.5089 (multiplicity 4)
Ag5 0.2098 0.6317 0.9985 (multiplicity 4)
S1 0.0000 0.0044 0.4994 (multiplicity 2)
S2 0.0000 0.2009 0.5052 (multiplicity 2)
S3 0.0000 0.7010 0.4029 (multiplicity 2)
S4 0.1519 0.4230 0.9865 (multiplicity 4)
S5 0.2213 0.8543 0.0005 (multiplicity 4)